This entry pairs a crystal structure of Fe10O9F11 with its theoretical X-ray diffraction stick pattern. Radiation: CuKα. Structure: a structure optimized by DFT (PBE+U).
Neutral-atom scattering factors, no anomalous dispersion.

Main lines, by angle (5° ≤ 2θ ≤ 70°):
| d (Å) | intensity |
| --- | --- |
| 3.414 | 100.0 |
| 3.331 | 96.2 |
| 2.603 | 51.0 |
| 2.592 | 51.8 |
| 1.770 | 29.6 |
| 1.766 | 30.2 |
| 1.750 | 25.0 |
| 1.740 | 27.1 |

Crystal structure
Unit cell a=4.770 b=4.770 c=15.485 alpha=90.26 beta=90.26 gamma=91.40
Sites, in units of the cell vectors:
Fe (0.000, 0.000, 0.000)
Fe (0.011, 0.057, 0.402)
Fe (0.024, 0.044, 0.793)
Fe (0.484, 0.493, 0.907)
Fe (0.507, 0.516, 0.093)
Fe (0.518, 0.482, 0.500)
Fe (0.520, 0.473, 0.299)
Fe (0.527, 0.480, 0.701)
Fe (0.943, 0.989, 0.598)
Fe (0.956, 0.976, 0.207)
O (0.302, 0.309, 0.003)
O (0.320, 0.320, 0.799)
O (0.321, 0.323, 0.400)
O (0.677, 0.679, 0.600)
O (0.680, 0.680, 0.201)
O (0.691, 0.698, 0.997)
O (0.805, 0.195, 0.500)
O (0.809, 0.190, 0.699)
O (0.810, 0.191, 0.301)
F (0.188, 0.798, 0.112)
F (0.192, 0.808, 0.500)
F (0.195, 0.803, 0.697)
F (0.197, 0.805, 0.303)
F (0.202, 0.812, 0.888)
F (0.290, 0.287, 0.201)
F (0.295, 0.290, 0.600)
F (0.710, 0.705, 0.400)
F (0.713, 0.710, 0.799)
F (0.791, 0.193, 0.109)
F (0.807, 0.209, 0.891)